[1]
The following is a computed XRD peak list of Rb2Na2MgTi2O6. It was derived from a GGA-PBE-relaxed structure, using Cu Kα, 1.54184 Å.

Structural model:
Cell: 5.654 6.312 6.320 Å, 66.97 88.53 83.58°
Space group P1 (No. 1)
Unique sites:
1 Rb 0.000 0.000 0.000 x1
2 Rb 0.404 0.321 0.176 x1
3 Na 0.469 0.993 0.815 x1
4 Na 0.914 0.076 0.483 x1
5 Mg 0.815 0.565 0.310 x1
6 Ti 0.402 0.620 0.566 x1
7 Ti 0.935 0.556 0.752 x1
8 O 0.176 0.779 0.709 x1
9 O 0.247 0.350 0.734 x1
10 O 0.485 0.737 0.251 x1
11 O 0.670 0.783 0.647 x1
12 O 0.732 0.373 0.633 x1
13 O 0.907 0.412 0.091 x1

Principal peaks in the range 2θ from 10° to 90°, in order of rising 2θ:
d_spacing	intensity
4.081	52
3.474	82
3.135	33
3.116	68
2.858	80
2.809	75
2.784	100
2.692	95
2.643	34
2.625	37
1.982	64
1.845	36

***

[2]
The following is a computed XRD peak list of MgBHO3. It was derived from a GGA-PBE-relaxed structure, using Cu Kα, 1.54184 Å.

Structural model:
Cell: 3.176 10.493 12.688 Å, 90.00 95.82 90.00°
Space group P2_1/c (No. 14)
Unique sites:
1 Mg 0.207 0.079 0.412 x4
2 Mg 0.267 0.638 0.495 x4
3 B 0.127 0.048 0.807 x4
4 B 0.259 0.168 0.638 x4
5 H 0.183 0.118 0.193 x4
6 H 0.362 0.744 0.162 x4
7 O 0.102 0.050 0.246 x4
8 O 0.220 0.044 0.915 x4
9 O 0.231 0.154 0.749 x4
10 O 0.269 0.208 0.102 x4
11 O 0.278 0.063 0.576 x4
12 O 0.296 0.705 0.092 x4

Principal peaks in the range 2θ from 10° to 90°, in order of rising 2θ:
d_spacing	intensity
6.311	65
3.025	47
2.693	89
2.629	38
2.570	100
2.455	53
2.344	69
2.226	55
2.104	50
1.628	41
1.580	44
1.510	40

***

[3]
The following is a computed XRD peak list of LiMg14BO15. It was derived from a GGA-PBE-relaxed structure, using Cu Kα, 1.54184 Å.

Structural model:
Cell: 4.267 8.295 8.587 Å, 90.00 90.00 90.00°
Space group Pmm2 (No. 25)
Unique sites:
1 Li 0.000 0.000 0.000 x1
2 Mg 0.000 0.000 0.497 x1
3 Mg 0.000 0.246 0.750 x2
4 Mg 0.000 0.258 0.248 x2
5 Mg 0.000 0.500 0.497 x1
6 Mg 0.500 0.000 0.240 x1
7 Mg 0.500 0.000 0.757 x1
8 Mg 0.500 0.250 0.500 x2
9 Mg 0.500 0.259 0.998 x2
10 Mg 0.500 0.500 0.238 x1
11 Mg 0.500 0.500 0.754 x1
12 B 0.000 0.500 0.936 x1
13 O 0.000 0.000 0.246 x1
14 O 0.000 0.000 0.754 x1
15 O 0.000 0.251 0.506 x2
16 O 0.000 0.327 0.990 x2
17 O 0.000 0.500 0.270 x1
18 O 0.500 0.000 0.499 x1
19 O 0.500 0.000 0.998 x1
20 O 0.500 0.251 0.752 x2
21 O 0.500 0.252 0.245 x2
22 O 0.500 0.500 0.512 x1
23 O 0.500 0.500 0.989 x1

Principal peaks in the range 2θ from 10° to 90°, in order of rising 2θ:
d_spacing	intensity
8.587	9
3.818	10
2.445	31
2.147	97
2.134	100
2.074	78
1.513	54
1.492	44
1.487	48
1.284	7
1.258	9
1.222	41

***

[4]
The following is a computed XRD peak list of CaCdPt. It was derived from a GGA-PBE-relaxed structure, using Cu Kα, 1.54184 Å.

Structural model:
Cell: 7.315 4.325 8.631 Å, 90.00 90.00 90.00°
Space group Pnma (No. 62)
Unique sites:
1 Ca 0.035 0.250 0.177 x4
2 Cd 0.142 0.250 0.563 x4
3 Pt 0.242 0.750 0.371 x4

Principal peaks in the range 2θ from 10° to 90°, in order of rising 2θ:
d_spacing	intensity
3.867	82
3.717	50
3.657	53
2.819	32
2.657	100
2.396	64
2.277	69
2.161	68
2.123	48
2.062	40
1.860	35
1.515	41

***

[5]
The following is a computed XRD peak list of Te2MoW3S6. It was derived from a GGA-PBE-relaxed structure, using Cu Kα, 1.54184 Å.

Structural model:
Cell: 3.2741 3.2741 38.9844 Å, 90.00 90.00 120.00°
Space group P3m1 (No. 156)
Unique sites:
1 Te 0.0000 0.0000 0.0000 x1
2 Te 0.0000 0.0000 0.0995 x1
3 Mo 0.0000 0.0000 0.8609 x1
4 W 0.0000 0.0000 0.2390 x1
5 W 0.3333 0.6667 0.0498 x1
6 W 0.3333 0.6667 0.4259 x1
7 S 0.0000 0.0000 0.3863 x1
8 S 0.0000 0.0000 0.4655 x1
9 S 0.3333 0.6667 0.1994 x1
10 S 0.3333 0.6667 0.2786 x1
11 S 0.3333 0.6667 0.8215 x1
12 S 0.3333 0.6667 0.9003 x1

Principal peaks in the range 2θ from 10° to 90°, in order of rising 2θ:
d_spacing	intensity
7.797	100
6.497	22
2.833	29
2.770	10
2.665	12
2.527	12
2.451	53
2.372	11
2.060	33
1.987	11
1.637	19
1.602	10

***

[6]
The following is a computed XRD peak list of MgAl2O4. It was derived from a GGA-PBE-relaxed structure, using Cu Kα, 1.54184 Å.

Structural model:
Cell: 2.806 9.272 9.462 Å, 90.00 90.00 90.00°
Space group Cmcm (No. 63)
Unique sites:
1 Mg 0.000 0.111 0.250 x4
2 Al 0.000 0.365 0.073 x8
3 O 0.000 0.000 0.000 x4
4 O 0.000 0.270 0.610 x8
5 O 0.000 0.452 0.250 x4

Principal peaks in the range 2θ from 10° to 90°, in order of rising 2θ:
d_spacing	intensity
2.608	90
2.107	51
2.078	30
2.029	100
1.902	80
1.775	16
1.577	20
1.547	32
1.470	25
1.403	28
1.388	63
1.236	19

***

[7]
The following is a computed XRD peak list of Y3Al. It was derived from a GGA-PBE-relaxed structure, using Cu Kα, 1.54184 Å.

Structural model:
Cell: 4.783 4.783 4.783 Å, 90.00 90.00 90.00°
Space group Pm-3m (No. 221)
Unique sites:
1 Y 0.000 0.000 0.500 x3
2 Al 0.500 0.500 0.500 x1

Principal peaks in the range 2θ from 10° to 90°, in order of rising 2θ:
d_spacing	intensity
4.783	14
3.382	12
2.762	100
2.392	50
2.139	6
1.953	5
1.691	33
1.594	3
1.442	39
1.381	11
1.196	5
1.097	16

***

[8]
The following is a computed XRD peak list of SiO2. It was derived from a GGA-PBE-relaxed structure, using Cu Kα, 1.54184 Å.

Structural model:
Cell: 4.249 4.665 15.514 Å, 90.00 90.00 90.00°
Space group I2_12_12_1 (No. 24)
Unique sites:
1 Si 0.000 0.250 0.063 x4
2 Si 0.000 0.250 0.810 x4
3 O 0.157 0.500 0.750 x4
4 O 0.238 0.083 0.130 x8
5 O 0.250 0.429 0.000 x4

Principal peaks in the range 2θ from 10° to 90°, in order of rising 2θ:
d_spacing	intensity
4.467	100
4.098	14
3.464	7
3.283	34
2.441	74
1.901	10
1.707	9
1.571	10
1.491	10
1.457	7
1.432	10
1.367	7

***

Number 2 is which compound? MgBHO3